InI4N: theoretical powder diffraction line list (Cu Kα), based on a cell relaxed with GGA-PBE.
Intensities are scaled so that the largest is 100.

Structure:
a b c (Å): 7.4489 12.9691 11.9657
angles (deg): 90.00 90.00 90.00
Element x y z (fractional)
1 In 0.2500 0.0000 0.1516
2 In 0.2500 0.5000 0.3484
3 In 0.7500 0.0000 0.8484
4 In 0.7500 0.5000 0.6516
5 I 0.0180 0.0036 0.6891
6 I 0.0180 0.4964 0.8109
7 I 0.2431 0.1705 0.0122
8 I 0.2431 0.3295 0.4878
9 I 0.2569 0.6705 0.4878
10 I 0.2569 0.8295 0.0122
11 I 0.4820 0.5036 0.8109
12 I 0.4820 0.9964 0.6891
13 I 0.5180 0.0036 0.3109
14 I 0.5180 0.4964 0.1891
15 I 0.7431 0.1705 0.9878
16 I 0.7431 0.3295 0.5122
17 I 0.7569 0.6705 0.5122
18 I 0.7569 0.8295 0.9878
19 I 0.9820 0.5036 0.1891
20 I 0.9820 0.9964 0.3109
21 N 0.1771 0.7500 0.7500
22 N 0.3229 0.2500 0.7500
23 N 0.6771 0.7500 0.2500
24 N 0.8229 0.2500 0.2500

Peak list (10 most intense, 10° ≤ 2θ ≤ 90°, low angle first)
(hkl)	d (Å)	I/Imax
0 1 1	8.794	26
0 2 0	6.485	36
0 2 2	4.395	100
0 3 1	4.066	40
0 1 3	3.812	24
2 1 1	3.430	53
2 0 2	3.163	44
0 4 2	2.851	24
2 3 3	2.304	76
0 3 5	2.095	34

---

PrTmSc2Sb4: theoretical powder diffraction line list (Cu Kα), based on a cell relaxed with GGA-PBE.
Intensities are scaled so that the largest is 100.

Structure:
a b c (Å): 7.4525 4.3170 7.4694
angles (deg): 90.00 109.55 90.00
Element x y z (fractional)
1 Pr 0.0000 0.0000 0.0000
2 Tm 0.0000 0.5000 0.5000
3 Sc 0.5000 0.0000 0.5000
4 Sc 0.5000 0.5000 0.0000
5 Sb 0.2663 0.0000 0.7486
6 Sb 0.2714 0.5000 0.2639
7 Sb 0.7286 0.5000 0.7361
8 Sb 0.7337 0.0000 0.2514

Peak list (10 most intense, 10° ≤ 2θ ≤ 90°, low angle first)
(hkl)	d (Å)	I/Imax
1 0 -2	3.679	12
1 1 1	3.048	100
2 1 -1	2.796	10
0 2 0	2.157	38
3 1 -1	2.153	36
2 2 -2	1.761	20
2 2 2	1.524	12
1 3 1	1.364	17
4 2 0	1.362	15
1 3 -3	1.245	14

---

Tl2HgO: theoretical powder diffraction line list (Cu Kα), based on a cell relaxed with GGA-PBE.
Intensities are scaled so that the largest is 100.

Structure:
a b c (Å): 9.3089 3.4954 14.2451
angles (deg): 90.00 90.00 90.00
Element x y z (fractional)
1 Tl 0.1204 0.2500 0.2041
2 Tl 0.1614 0.7500 0.9548
3 Tl 0.3386 0.2500 0.4548
4 Tl 0.3796 0.7500 0.7041
5 Tl 0.6204 0.2500 0.2959
6 Tl 0.6614 0.7500 0.5452
7 Tl 0.8386 0.2500 0.0452
8 Tl 0.8796 0.7500 0.7959
9 Hg 0.0647 0.7500 0.5907
10 Hg 0.4353 0.2500 0.0907
11 Hg 0.5647 0.7500 0.9093
12 Hg 0.9353 0.2500 0.4093
13 O 0.0228 0.7500 0.1030
14 O 0.4772 0.2500 0.6030
15 O 0.5228 0.7500 0.3970
16 O 0.9772 0.2500 0.8970

Peak list (10 most intense, 10° ≤ 2θ ≤ 90°, low angle first)
(hkl)	d (Å)	I/Imax
0 1 1	3.395	60
2 0 3	3.324	100
3 0 1	3.032	28
1 0 5	2.724	29
1 1 3	2.694	28
2 1 2	2.602	73
3 1 2	2.206	20
1 1 6	1.921	32
0 2 0	1.748	22
2 2 3	1.547	22

---

KBi4Au2: theoretical powder diffraction line list (Cu Kα), based on a cell relaxed with GGA-PBE.
Intensities are scaled so that the largest is 100.

Structure:
a b c (Å): 9.5229 9.5229 4.6866
angles (deg): 90.00 90.00 90.00
Element x y z (fractional)
1 K 0.0000 0.0000 0.0000
2 K 0.5000 0.5000 0.5000
3 Bi 0.0816 0.3203 0.5000
4 Bi 0.1797 0.5816 0.0000
5 Bi 0.3203 0.0816 0.5000
6 Bi 0.4184 0.8203 0.0000
7 Bi 0.5816 0.1797 0.0000
8 Bi 0.6797 0.9184 0.5000
9 Bi 0.8203 0.4184 0.0000
10 Bi 0.9184 0.6797 0.5000
11 Au 0.2202 0.7798 0.5000
12 Au 0.2798 0.2798 0.0000
13 Au 0.7202 0.7202 0.0000
14 Au 0.7798 0.2202 0.5000

Peak list (10 most intense, 10° ≤ 2θ ≤ 90°, low angle first)
(hkl)	d (Å)	I/Imax
1 1 0	6.734	37
2 0 0	4.761	39
2 1 1	3.152	77
3 1 0	3.011	22
2 2 1	2.734	52
3 1 1	2.533	100
0 0 2	2.343	38
4 1 0	2.310	57
3 2 1	2.301	23
4 1 2	1.645	41

---

Tm5Mg4Cd2: theoretical powder diffraction line list (Cu Kα), based on a cell relaxed with GGA-PBE.
Intensities are scaled so that the largest is 100.

Structure:
a b c (Å): 8.3288 18.9671 3.6413
angles (deg): 90.00 90.00 90.00
Element x y z (fractional)
1 Tm 0.0000 0.0000 0.0000
2 Tm 0.1185 0.4261 0.0000
3 Tm 0.2397 0.2041 0.0000
4 Tm 0.2603 0.7041 0.0000
5 Tm 0.3815 0.9261 0.0000
6 Tm 0.5000 0.5000 0.0000
7 Tm 0.6185 0.0739 0.0000
8 Tm 0.7397 0.2959 0.0000
9 Tm 0.7603 0.7959 0.0000
10 Tm 0.8815 0.5739 0.0000
11 Mg 0.0861 0.8509 0.5000
12 Mg 0.2070 0.5634 0.5000
13 Mg 0.2930 0.0634 0.5000
14 Mg 0.4139 0.3509 0.5000
15 Mg 0.5861 0.6491 0.5000
16 Mg 0.7070 0.9366 0.5000
17 Mg 0.7930 0.4366 0.5000
18 Mg 0.9139 0.1491 0.5000
19 Cd 0.0398 0.3005 0.5000
20 Cd 0.4602 0.8005 0.5000
21 Cd 0.5398 0.1995 0.5000
22 Cd 0.9602 0.6995 0.5000

Peak list (10 most intense, 10° ≤ 2θ ≤ 90°, low angle first)
(hkl)	d (Å)	I/Imax
1 3 0	5.036	32
1 4 0	4.121	56
0 0 1	3.641	32
1 4 1	2.729	100
3 2 0	2.664	35
2 2 1	2.633	97
1 7 0	2.577	40
2 3 1	2.515	36
1 5 1	2.505	63
0 0 2	1.821	25

---

LiCeGdHo: theoretical powder diffraction line list (Cu Kα), based on a cell relaxed with GGA-PBE.
Intensities are scaled so that the largest is 100.

Structure:
a b c (Å): 7.6456 7.6456 7.6456
angles (deg): 90.00 90.00 90.00
Element x y z (fractional)
1 Li 0.0000 0.0000 0.0000
2 Li 0.0000 0.5000 0.5000
3 Li 0.5000 0.0000 0.5000
4 Li 0.5000 0.5000 0.0000
5 Ce 0.0000 0.0000 0.5000
6 Ce 0.0000 0.5000 0.0000
7 Ce 0.5000 0.0000 0.0000
8 Ce 0.5000 0.5000 0.5000
9 Gd 0.2500 0.2500 0.7500
10 Gd 0.2500 0.7500 0.2500
11 Gd 0.7500 0.2500 0.2500
12 Gd 0.7500 0.7500 0.7500
13 Ho 0.2500 0.2500 0.2500
14 Ho 0.2500 0.7500 0.7500
15 Ho 0.7500 0.2500 0.7500
16 Ho 0.7500 0.7500 0.2500

Peak list (10 most intense, 10° ≤ 2θ ≤ 90°, low angle first)
(hkl)	d (Å)	I/Imax
1 1 1	4.414	20
2 0 0	3.823	17
2 2 0	2.703	100
3 1 1	2.305	11
2 2 2	2.207	5
4 0 0	1.911	18
4 2 0	1.710	7
4 2 2	1.561	38
4 4 0	1.352	12
6 2 0	1.209	16